Calculated X-ray powder pattern
Compound: NaHfInP2SO12
Radiation: Cu Kα
Structure: a cell relaxed with GGA-PBE

The 10 most intense peaks (10 to 90 degrees two-theta), most intense first:
2theta	I (rel.)
20.07	100
19.12	80
30.56	53
23.12	41
13.82	38
35.13	38
27.81	31
30.68	28
34.54	19
47.21	18

Crystal structure
```
data_NaHfInP2SO12
_chemical_formula_sum 'Na4 Hf4 In4 P8 S4 O48'
_symmetry_space_group_name_H-M 'C 1 c 1'
_symmetry_Int_Tables_number 9
_symmetry_space_group_name_Hall 'C -2yc'
_cell_length_a 15.3115
_cell_length_b 8.8583
_cell_length_c 9.3284
_cell_angle_alpha 90.00
_cell_angle_beta 123.48
_cell_angle_gamma 90.00
loop_
_atom_site_label
_atom_site_type_symbol
_atom_site_fract_x
_atom_site_fract_y
_atom_site_fract_z
Na1 Na 0.0000 0.2374 0.0000
Hf1 Hf 0.1449 0.2499 0.4521
In1 In 0.3472 0.2611 0.0635
P1 P 0.1031 0.1046 0.7621
P2 P 0.2482 0.4552 0.2609
S1 S 0.3949 0.1032 0.7617
O1 O 0.0061 0.1776 0.7428
O2 O 0.1003 0.0706 0.2795
O3 O 0.1077 0.1368 0.6019
O4 O 0.1688 0.3607 0.2797
O5 O 0.1839 0.4405 0.6006
O6 O 0.1990 0.1660 0.9261
O7 O 0.3008 0.1706 0.6071
O8 O 0.3196 0.4533 0.9229
O9 O 0.3216 0.3468 0.2472
O10 O 0.3960 0.1278 0.9176
O11 O 0.4015 0.0600 0.2403
O12 O 0.4871 0.1791 0.7766
```